1.
Structure and calculated powder diffraction line list of Sr3CaRu2O9 (a DFT-relaxed cell (GGA-PBE, the Materials Project); Cu Kα (λ = 1.5418 Å)).
Lines closer than 0.1° are merged.

Top 10 peaks for 10° ≤ 2θ ≤ 90°, low angle first:
Position (°2θ)	I_rel	hkl
30.87	1000	4 1 -1
30.98	995	0 1 3
44.26	393	4 2 2
44.38	211	4 0 -4
54.89	222	4 3 -1
54.99	369	8 1 1
55.15	154	4 1 5
64.37	108	8 2 -2
73.22	152	8 1 -5
89.69	129	12 1 3

Structure:
```
data_Sr3CaRu2O9
_chemical_formula_sum 'Sr12 Ca4 Ru8 O36'
_cell_length_a 14.1747
_cell_length_b 5.8010
_cell_length_c 9.9812
_cell_angle_alpha 90.00
_cell_angle_beta 90.06
_cell_angle_gamma 90.00
_space_group_name_H-M_alt 'P 1 21/c 1'
_space_group_IT_number 14
loop_
_space_group_symop_operation_xyz
'x,y,z'
'-x,-y,-z'
'-x,y+1/2,-z+1/2'
'x,-y+1/2,z+1/2'
loop_
_atom_site_label
_atom_site_type_symbol
_atom_site_fract_x
_atom_site_fract_y
_atom_site_fract_z
Sr1 Sr 0.0833 0.0350 0.3318
Sr2 Sr 0.2524 0.5411 0.5072
Sr3 Sr 0.4116 0.0365 0.6672
Ca1 Ca 0.0000 0.0000 0.0000
Ca2 Ca 0.5000 0.0000 0.0000
Ru1 Ru 0.1683 0.5026 0.1724
Ru2 Ru 0.3310 0.0056 0.3388
O1 O 0.0693 0.1954 0.6049
O2 O 0.0940 0.7301 0.6286
O3 O 0.1171 0.0160 0.8478
O4 O 0.2244 0.5164 0.9755
O5 O 0.2504 0.2132 0.2128
O6 O 0.2756 0.7117 0.2370
O7 O 0.3813 0.2293 0.9258
O8 O 0.4050 0.6972 0.9489
O9 O 0.4298 0.0158 0.2050
```


2.
Structure and calculated powder diffraction line list of SrCa3Ru2O8 (a DFT-relaxed cell (GGA-PBE, the Materials Project); Cu Kα (λ = 1.5418 Å)).
Lines closer than 0.1° are merged.

Top 10 peaks for 10° ≤ 2θ ≤ 90°, low angle first:
Position (°2θ)	I_rel	hkl
13.92	494	0 0 4
24.43	224	1 1 2
31.60	1000	1 1 6
33.32	747	2 0 0
42.64	249	0 0 12
42.76	174	1 1 10
47.84	351	2 2 0
55.16	284	2 0 12
58.47	407	3 1 6
66.02	325	2 2 12

Structure:
```
data_SrCa3Ru2O8
_chemical_formula_sum 'Sr4 Ca12 Ru8 O32'
_cell_length_a 5.3775
_cell_length_b 5.3778
_cell_length_c 25.4464
_cell_angle_alpha 90.00
_cell_angle_beta 90.00
_cell_angle_gamma 90.00
_space_group_name_H-M_alt 'I b a 2'
_space_group_IT_number 45
loop_
_space_group_symop_operation_xyz
'x,y,z'
'-x,-y,z'
'-x,y,z+1/2'
'x,-y,z+1/2'
'x+1/2,y+1/2,z+1/2'
'-x+1/2,-y+1/2,z+1/2'
'-x+1/2,y+1/2,z'
'x+1/2,-y+1/2,z'
loop_
_atom_site_label
_atom_site_type_symbol
_atom_site_fract_x
_atom_site_fract_y
_atom_site_fract_z
Sr1 Sr 0.0000 0.0000 0.0000
Ca1 Ca 0.0000 0.0000 0.1531
Ca2 Ca 0.0000 0.5000 0.2490
Ca3 Ca 0.0000 0.5000 0.4005
Ru1 Ru 0.0000 0.0000 0.3243
Ru2 Ru 0.0000 0.5000 0.0781
O1 O 0.0000 0.0000 0.2425
O2 O 0.0000 0.0000 0.4055
O3 O 0.0000 0.5000 0.1600
O4 O 0.0000 0.5000 0.4934
O5 O 0.1827 0.3173 0.3248
O6 O 0.1943 0.1942 0.5794
```


3.
Structure and calculated powder diffraction line list of SrCaRu2O6 (a DFT-relaxed cell (GGA-PBE, the Materials Project); Cu Kα (λ = 1.5418 Å)).
Lines closer than 0.1° are merged.

Top 10 peaks for 10° ≤ 2θ ≤ 90°, low angle first:
Position (°2θ)	I_rel	hkl
22.60	234	0 1 1
31.92	250	0 0 2
32.19	1000	2 1 1
32.38	247	0 2 0
46.11	290	0 2 2
46.22	159	4 0 0
57.06	171	2 1 3
57.28	107	4 0 2
57.61	342	2 3 1
67.35	155	4 2 2

Structure:
```
data_SrCaRu2O6
_chemical_formula_sum 'Sr2 Ca2 Ru4 O12'
_cell_length_a 7.8558
_cell_length_b 5.5301
_cell_length_c 5.6065
_cell_angle_alpha 90.00
_cell_angle_beta 90.00
_cell_angle_gamma 90.00
_space_group_name_H-M_alt 'P m c 21'
_space_group_IT_number 26
loop_
_space_group_symop_operation_xyz
'x,y,z'
'-x,-y,z+1/2'
'-x,y,z'
'x,-y,z+1/2'
loop_
_atom_site_label
_atom_site_type_symbol
_atom_site_fract_x
_atom_site_fract_y
_atom_site_fract_z
Sr1 Sr 0.0000 0.2414 0.0000
Ca1 Ca 0.5000 0.2579 0.9111
Ru1 Ru 0.2545 0.2489 0.4604
O1 O 0.0000 0.3167 0.4532
O2 O 0.2191 0.0454 0.7546
O3 O 0.2988 0.4540 0.1666
O4 O 0.5000 0.1614 0.4860
```


4.
Structure and calculated powder diffraction line list of Sr4CaTb2Ru2O12 (a DFT-relaxed cell (GGA-PBE, the Materials Project); Cu Kα (λ = 1.5418 Å)).
Lines closer than 0.1° are merged.

Top 10 peaks for 10° ≤ 2θ ≤ 90°, low angle first:
Position (°2θ)	I_rel	hkl
20.77	224	0 0 2
21.06	345	1 1 0
28.84	381	1 1 2
29.18	843	-1 1 2
30.35	1000	1 -1 2
30.60	746	1 1 -2
30.71	710	2 0 0
42.26	259	0 0 4
42.94	261	2 -2 0
49.21	234	1 3 -1

Structure:
```
data_Sr4CaTb2Ru2O12
_chemical_formula_sum 'Sr4 Ca1 Tb2 Ru2 O12'
_cell_length_a 5.8231
_cell_length_b 6.1334
_cell_length_c 8.5763
_cell_angle_alpha 85.97
_cell_angle_beta 89.26
_cell_angle_gamma 89.80
_space_group_name_H-M_alt 'P 1'
_space_group_IT_number 1
loop_
_space_group_symop_operation_xyz
'x,y,z'
loop_
_atom_site_label
_atom_site_type_symbol
_atom_site_fract_x
_atom_site_fract_y
_atom_site_fract_z
Sr1 Sr 0.0000 0.0000 0.0000
Sr2 Sr 0.0276 0.8866 0.4635
Sr3 Sr 0.4978 0.3644 0.4589
Sr4 Sr 0.5264 0.5766 0.0592
Ca1 Ca 0.4508 0.2919 0.8385
Tb1 Tb 0.0141 0.4392 0.2311
Tb2 Tb 0.5102 0.8597 0.7024
Ru1 Ru 0.5136 0.9573 0.2306
Ru2 Ru 0.9962 0.3852 0.7147
O1 O 0.1110 0.3929 0.9598
O2 O 0.2392 0.6133 0.6721
O3 O 0.2406 0.1466 0.2650
O4 O 0.2465 0.1449 0.6617
O5 O 0.3046 0.6797 0.2762
O6 O 0.4393 0.9511 0.9827
O7 O 0.5914 0.9429 0.4558
O8 O 0.7052 0.2317 0.1842
O9 O 0.7254 0.5780 0.7787
O10 O 0.7835 0.1301 0.7493
O11 O 0.8015 0.7585 0.2020
O12 O 0.9231 0.4249 0.4848
```


5.
Structure and calculated powder diffraction line list of Sr4CaTb2Ru2O12 (a DFT-relaxed cell (GGA-PBE, the Materials Project); Cu Kα (λ = 1.5418 Å)).
Lines closer than 0.1° are merged.

Top 10 peaks for 10° ≤ 2θ ≤ 90°, low angle first:
Position (°2θ)	I_rel	hkl
23.06	206	1 1 -1
28.61	644	0 2 0
29.27	335	2 0 0
30.23	226	0 2 1
30.46	494	1 1 -2
30.59	1000	-1 1 2
37.74	220	1 1 3
42.89	247	2 -2 0
44.71	322	0 0 4
47.07	215	1 3 -1

Structure:
```
data_Sr4CaTb2Ru2O12
_chemical_formula_sum 'Sr4 Ca1 Tb2 Ru2 O12'
_cell_length_a 6.1235
_cell_length_b 6.2703
_cell_length_c 8.1225
_cell_angle_alpha 87.44
_cell_angle_beta 87.52
_cell_angle_gamma 85.79
_space_group_name_H-M_alt 'P 1'
_space_group_IT_number 1
loop_
_space_group_symop_operation_xyz
'x,y,z'
loop_
_atom_site_label
_atom_site_type_symbol
_atom_site_fract_x
_atom_site_fract_y
_atom_site_fract_z
Sr1 Sr 0.0000 0.0000 0.0000
Sr2 Sr 0.0568 0.9420 0.4917
Sr3 Sr 0.3169 0.3997 0.4479
Sr4 Sr 0.4317 0.5746 0.9839
Ca1 Ca 0.6065 0.7096 0.5429
Tb1 Tb 0.5229 0.1040 0.7643
Tb2 Tb 0.8941 0.4807 0.2265
Ru1 Ru 0.4704 0.0116 0.2410
Ru2 Ru 0.9895 0.5368 0.7480
O1 O 0.0301 0.5863 0.9859
O2 O 0.1548 0.1974 0.2449
O3 O 0.1761 0.2576 0.7458
O4 O 0.2715 0.6872 0.6885
O5 O 0.3258 0.7438 0.2979
O6 O 0.4238 0.9654 0.0030
O7 O 0.4980 0.0529 0.4943
O8 O 0.6166 0.2949 0.1950
O9 O 0.7086 0.3794 0.7914
O10 O 0.7601 0.8308 0.2512
O11 O 0.8030 0.8375 0.7422
O12 O 0.9344 0.5178 0.4977
```


6.
Structure and calculated powder diffraction line list of Sr4CaY2Ru2O12 (a DFT-relaxed cell (GGA-PBE, the Materials Project); Cu Kα (λ = 1.5418 Å)).
Lines closer than 0.1° are merged.

Top 10 peaks for 10° ≤ 2θ ≤ 90°, low angle first:
Position (°2θ)	I_rel	hkl
28.41	237	1 1 2
28.83	301	0 2 0
29.71	304	2 0 0
30.44	1000	1 1 -2
30.54	392	-1 1 2
40.26	145	2 2 0
43.44	201	2 -2 0
43.91	247	0 0 4
54.56	218	0 2 -4
55.20	129	2 0 -4

Structure:
```
data_Sr4CaY2Ru2O12
_chemical_formula_sum 'Sr4 Ca1 Y2 Ru2 O12'
_cell_length_a 6.0369
_cell_length_b 6.2174
_cell_length_c 8.2656
_cell_angle_alpha 87.22
_cell_angle_beta 87.12
_cell_angle_gamma 85.72
_space_group_name_H-M_alt 'P 1'
_space_group_IT_number 1
loop_
_space_group_symop_operation_xyz
'x,y,z'
loop_
_atom_site_label
_atom_site_type_symbol
_atom_site_fract_x
_atom_site_fract_y
_atom_site_fract_z
Sr1 Sr 0.0000 0.0000 0.0000
Sr2 Sr 0.0687 0.8858 0.5020
Sr3 Sr 0.6043 0.3574 0.5034
Sr4 Sr 0.7131 0.5510 0.0591
Ca1 Ca 0.4421 0.2581 0.9229
Y1 Y 0.1417 0.4495 0.2700
Y2 Y 0.5398 0.8469 0.7388
Ru1 Ru 0.0574 0.4207 0.7543
Ru2 Ru 0.5845 0.9376 0.2629
O1 O 0.0057 0.4441 0.5186
O2 O 0.1100 0.4046 0.0048
O3 O 0.2541 0.1145 0.7339
O4 O 0.3037 0.1189 0.2923
O5 O 0.3527 0.5693 0.7199
O6 O 0.4178 0.6493 0.3037
O7 O 0.5303 0.9140 0.0109
O8 O 0.6527 0.9529 0.4972
O9 O 0.7465 0.2056 0.2123
O10 O 0.7833 0.2643 0.8010
O11 O 0.8850 0.7096 0.7882
O12 O 0.8917 0.7530 0.2372
```


7.
Structure and calculated powder diffraction line list of Sr4CaY2Ru2O12 (a DFT-relaxed cell (GGA-PBE, the Materials Project); Cu Kα (λ = 1.5418 Å)).
Lines closer than 0.1° are merged.

Top 10 peaks for 10° ≤ 2θ ≤ 90°, low angle first:
Position (°2θ)	I_rel	hkl
28.71	235	1 1 2
29.17	270	0 2 0
29.30	270	-1 1 2
30.27	196	0 2 1
30.49	538	1 -1 2
30.67	1000	1 1 -2
42.43	154	0 0 4
42.56	148	2 2 0
43.19	335	2 -2 0
54.30	245	3 -1 2

Structure:
```
data_Sr4CaY2Ru2O12
_chemical_formula_sum 'Sr4 Ca1 Y2 Ru2 O12'
_cell_length_a 5.8264
_cell_length_b 6.1416
_cell_length_c 8.5475
_cell_angle_alpha 85.72
_cell_angle_beta 88.98
_cell_angle_gamma 89.17
_space_group_name_H-M_alt 'P 1'
_space_group_IT_number 1
loop_
_space_group_symop_operation_xyz
'x,y,z'
loop_
_atom_site_label
_atom_site_type_symbol
_atom_site_fract_x
_atom_site_fract_y
_atom_site_fract_z
Sr1 Sr 0.0000 0.0000 0.0000
Sr2 Sr 0.0111 0.1832 0.6008
Sr3 Sr 0.5311 0.5718 0.0597
Sr4 Sr 0.5470 0.6395 0.6009
Ca1 Ca 0.0230 0.3003 0.2132
Y1 Y 0.0381 0.7148 0.3688
Y2 Y 0.5152 0.1213 0.8337
Ru1 Ru 0.0302 0.6044 0.8436
Ru2 Ru 0.5335 0.1891 0.3574
O1 O 0.1082 0.6135 0.6171
O2 O 0.2281 0.3370 0.9145
O3 O 0.2503 0.0054 0.3115
O4 O 0.3020 0.8168 0.8647
O5 O 0.3296 0.4610 0.3170
O6 O 0.4435 0.1853 0.5883
O7 O 0.6502 0.1795 0.1277
O8 O 0.7502 0.9400 0.4123
O9 O 0.7686 0.3935 0.8146
O10 O 0.7939 0.4091 0.4042
O11 O 0.7993 0.8666 0.7943
O12 O 0.9563 0.6338 0.0946
```


8.
Structure and calculated powder diffraction line list of CaSO6 (a DFT-relaxed cell (GGA-PBE, the Materials Project); Cu Kα (λ = 1.5418 Å)).
Lines closer than 0.1° are merged.

Top 10 peaks for 10° ≤ 2θ ≤ 90°, low angle first:
Position (°2θ)	I_rel	hkl
10.10	901	0 2 0
19.44	1000	1 2 -1
21.85	218	0 3 1
26.30	523	1 4 -1
30.61	97	0 6 0
31.57	213	0 0 2
31.88	105	1 2 1
32.11	93	2 1 -1
35.07	139	2 2 -2
46.01	171	1 4 -3

Structure:
```
data_CaSO6
_chemical_formula_sum 'Ca4 S4 O24'
_cell_length_a 5.6986
_cell_length_b 17.5233
_cell_length_c 6.7238
_cell_angle_alpha 90.00
_cell_angle_beta 122.52
_cell_angle_gamma 90.00
_space_group_name_H-M_alt 'P 1 21/c 1'
_space_group_IT_number 14
loop_
_space_group_symop_operation_xyz
'x,y,z'
'-x,-y,-z'
'-x,y+1/2,-z+1/2'
'x,-y+1/2,z+1/2'
loop_
_atom_site_label
_atom_site_type_symbol
_atom_site_fract_x
_atom_site_fract_y
_atom_site_fract_z
Ca1 Ca 0.2486 0.1902 0.0049
S1 S 0.2516 0.6737 0.9952
O1 O 0.0015 0.7235 0.9190
O2 O 0.0562 0.0229 0.0819
O3 O 0.1811 0.6287 0.7845
O4 O 0.3226 0.6281 0.2051
O5 O 0.4442 0.0233 0.9189
O6 O 0.4987 0.2239 0.4280
```


9.
Structure and calculated powder diffraction line list of Ca2S2O9 (a DFT-relaxed cell (GGA-PBE, the Materials Project); Cu Kα (λ = 1.5418 Å)).
Lines closer than 0.1° are merged.

Top 10 peaks for 10° ≤ 2θ ≤ 90°, low angle first:
Position (°2θ)	I_rel	hkl
14.53	1000	1 0 0
25.30	330	1 1 0
28.98	110	1 1 2
29.30	921	2 0 0
31.67	837	0 1 4
41.68	142	3 -2 2
46.93	112	3 0 2
48.76	542	3 -1 4
53.47	281	0 3 4
72.03	144	1 2 8

Structure:
```
data_Ca2S2O9
_chemical_formula_sum 'Ca6 S6 O27'
_cell_length_a 7.0394
_cell_length_b 7.0394
_cell_length_c 12.7548
_cell_angle_alpha 90.00
_cell_angle_beta 90.00
_cell_angle_gamma 120.00
_space_group_name_H-M_alt 'P 32'
_space_group_IT_number 145
loop_
_space_group_symop_operation_xyz
'x,y,z'
'-y,x-y,z+2/3'
'-x+y,-x,z+1/3'
loop_
_atom_site_label
_atom_site_type_symbol
_atom_site_fract_x
_atom_site_fract_y
_atom_site_fract_z
Ca1 Ca 0.1325 0.3394 0.0000
Ca2 Ca 0.1423 0.3339 0.5008
S1 S 0.1253 0.3261 0.7508
S2 S 0.1345 0.3366 0.2502
O1 O 0.0060 0.7940 0.6536
O2 O 0.0094 0.8083 0.1551
O3 O 0.0758 0.4671 0.8206
O4 O 0.0777 0.4671 0.3222
O5 O 0.1580 0.6938 0.0101
O6 O 0.1637 0.6858 0.5098
O7 O 0.2414 0.0553 0.5177
O8 O 0.2465 0.0669 0.0186
O9 O 0.5532 0.2524 0.2916
```